# 1
ZrAu4: simulated powder X-ray diffraction pattern (Cu Kα (λ = 1.5418 Å)), based on a GGA-PBE-relaxed structure.
Peak positions follow from Bragg's law for the DFT cell and can differ from measured ones.

Principal peaks in the range 2θ from 15° to 90°, in order of falling intensity:
2theta	I (rel.)
39.7	100
39.8	52
36.2	44
35.1	24
67.4	21
75.1	21

Atomic structure:
```
data_ZrAu4
_chemical_formula_sum 'Zr4 Au16'
_symmetry_space_group_name_H-M 'P 1'
_symmetry_Int_Tables_number 1
_cell_length_a 5.0836
_cell_length_b 4.9642
_cell_length_c 14.7626
_cell_angle_alpha 90.00
_cell_angle_beta 90.00
_cell_angle_gamma 90.00
loop_
_symmetry_equiv_pos_as_xyz
'x,y,z'
loop_
_atom_site_label
_atom_site_fract_x
_atom_site_fract_y
_atom_site_fract_z
Zr1 0.1628 0.2500 0.0984
Zr2 0.3372 0.7500 0.5984
Zr3 0.6628 0.2500 0.4016
Zr4 0.8372 0.7500 0.9016
Au1 0.1595 0.2500 0.9002
Au2 0.1642 0.2500 0.2984
Au3 0.1649 0.2500 0.5005
Au4 0.1727 0.2500 0.6974
Au5 0.3273 0.7500 0.1974
Au6 0.3351 0.7500 0.0005
Au7 0.3358 0.7500 0.7984
Au8 0.3405 0.7500 0.4002
Au9 0.6595 0.2500 0.5998
Au10 0.6642 0.2500 0.2016
Au11 0.6649 0.2500 0.9995
Au12 0.6727 0.2500 0.8026
Au13 0.8273 0.7500 0.3026
Au14 0.8351 0.7500 0.4995
Au15 0.8358 0.7500 0.7016
Au16 0.8405 0.7500 0.0998
```

=====

# 2
ZrAu2: simulated powder X-ray diffraction pattern (Cu Kα (λ = 1.5418 Å)), based on a GGA-PBE-relaxed structure.
Peak positions follow from Bragg's law for the DFT cell and can differ from measured ones.

Principal peaks in the range 2θ from 15° to 90°, in order of falling intensity:
2theta	I (rel.)
39.4	100
35.2	68
65.9	44
50.6	24
74.2	16
26.7	11

Atomic structure:
```
data_ZrAu2
_chemical_formula_sum 'Zr1 Au2'
_symmetry_space_group_name_H-M 'P 1'
_symmetry_Int_Tables_number 1
_cell_length_a 5.1138
_cell_length_b 5.1138
_cell_length_c 5.1138
_cell_angle_alpha 138.66
_cell_angle_beta 138.66
_cell_angle_gamma 59.89
loop_
_symmetry_equiv_pos_as_xyz
'x,y,z'
loop_
_atom_site_label
_atom_site_fract_x
_atom_site_fract_y
_atom_site_fract_z
Zr1 0.0000 0.0000 0.0000
Au1 0.3318 0.3318 0.0000
Au2 0.6682 0.6682 0.0000
```

=====

# 3
BaB6: simulated powder X-ray diffraction pattern (Cu Kα (λ = 1.5418 Å)), based on a GGA-PBE-relaxed structure.
Peak positions follow from Bragg's law for the DFT cell and can differ from measured ones.

Principal peaks in the range 2θ from 15° to 90°, in order of falling intensity:
2theta	I (rel.)
29.5	100
20.8	58
47.5	48
36.4	41
65.4	28
52.4	26

Atomic structure:
```
data_BaB6
_chemical_formula_sum 'Ba1 B6'
_symmetry_space_group_name_H-M 'P 1'
_symmetry_Int_Tables_number 1
_cell_length_a 4.2801
_cell_length_b 4.2801
_cell_length_c 4.2801
_cell_angle_alpha 90.00
_cell_angle_beta 90.00
_cell_angle_gamma 90.00
loop_
_symmetry_equiv_pos_as_xyz
'x,y,z'
loop_
_atom_site_label
_atom_site_fract_x
_atom_site_fract_y
_atom_site_fract_z
Ba1 0.0000 0.0000 0.0000
B1 0.2055 0.5000 0.5000
B2 0.5000 0.2055 0.5000
B3 0.5000 0.5000 0.2055
B4 0.5000 0.5000 0.7945
B5 0.5000 0.7945 0.5000
B6 0.7945 0.5000 0.5000
```

=====

# 4
BaBe2B2O4: simulated powder X-ray diffraction pattern (Cu Kα (λ = 1.5418 Å)), based on a GGA-PBE-relaxed structure.
Peak positions follow from Bragg's law for the DFT cell and can differ from measured ones.

Principal peaks in the range 2θ from 15° to 90°, in order of falling intensity:
2theta	I (rel.)
25.0	100
28.7	51
27.8	51
23.2	37
40.4	33
24.7	32

Atomic structure:
```
data_BaBe2B2O4
_chemical_formula_sum 'Ba4 Be8 B8 O16'
_symmetry_space_group_name_H-M 'P 1'
_symmetry_Int_Tables_number 1
_cell_length_a 8.9357
_cell_length_b 8.7203
_cell_length_c 8.5736
_cell_angle_alpha 62.22
_cell_angle_beta 59.70
_cell_angle_gamma 58.09
loop_
_symmetry_equiv_pos_as_xyz
'x,y,z'
loop_
_atom_site_label
_atom_site_fract_x
_atom_site_fract_y
_atom_site_fract_z
Ba1 0.0000 0.0000 0.0000
Ba2 0.0000 0.0000 0.5000
Ba3 0.0000 0.5000 0.0000
Ba4 0.5000 0.0000 0.0000
Be1 0.0140 0.3636 0.6283
Be2 0.3636 0.0140 0.4941
Be3 0.3717 0.5059 0.9860
Be4 0.4941 0.6283 0.3636
Be5 0.5059 0.3717 0.6364
Be6 0.6283 0.4941 0.0140
Be7 0.6364 0.9860 0.5059
Be8 0.9860 0.6364 0.3717
B1 0.2398 0.2642 0.3058
B2 0.2642 0.2398 0.6901
B3 0.3058 0.6901 0.2398
B4 0.3099 0.6942 0.7358
B5 0.6901 0.3058 0.2642
B6 0.6942 0.3099 0.7602
B7 0.7358 0.7602 0.3099
B8 0.7602 0.7358 0.6942
O1 0.1080 0.4034 0.3976
O2 0.1113 0.7616 0.2985
O3 0.2384 0.8887 0.6713
O4 0.2985 0.3287 0.1113
O5 0.3287 0.2985 0.7616
O6 0.3976 0.5910 0.1080
O7 0.4034 0.1080 0.5910
O8 0.4090 0.6024 0.5966
O9 0.5910 0.3976 0.4034
O10 0.5966 0.8920 0.4090
O11 0.6024 0.4090 0.8920
O12 0.6713 0.7015 0.2384
O13 0.7015 0.6713 0.8887
O14 0.7616 0.1113 0.3287
O15 0.8887 0.2384 0.7015
O16 0.8920 0.5966 0.6024
```

=====

# 5
BaBe2B2O6: simulated powder X-ray diffraction pattern (Cu Kα (λ = 1.5418 Å)), based on a GGA-PBE-relaxed structure.
Peak positions follow from Bragg's law for the DFT cell and can differ from measured ones.

Principal peaks in the range 2θ from 15° to 90°, in order of falling intensity:
2theta	I (rel.)
31.0	100
20.2	66
27.3	61
17.1	61
33.7	52
25.8	50

Atomic structure:
```
data_BaBe2B2O6
_chemical_formula_sum 'Ba2 Be4 B4 O12'
_symmetry_space_group_name_H-M 'P 1'
_symmetry_Int_Tables_number 1
_cell_length_a 6.4362
_cell_length_b 6.7472
_cell_length_c 7.2729
_cell_angle_alpha 77.82
_cell_angle_beta 63.74
_cell_angle_gamma 61.51
loop_
_symmetry_equiv_pos_as_xyz
'x,y,z'
loop_
_atom_site_label
_atom_site_fract_x
_atom_site_fract_y
_atom_site_fract_z
Ba1 0.0000 0.0000 0.0000
Ba2 0.2583 0.5073 0.4977
Be1 0.4182 0.9933 0.1872
Be2 0.5886 0.0058 0.8218
Be3 0.6538 0.5061 0.6877
Be4 0.8535 0.4933 0.3167
B1 0.2833 0.4355 0.0073
B2 0.5395 0.9317 0.4959
B3 0.7269 0.5679 0.9968
B4 0.9653 0.0819 0.5020
O1 0.0993 0.5433 0.1738
O2 0.1618 0.9509 0.3221
O3 0.3741 0.5404 0.8190
O4 0.4029 0.1960 0.9988
O5 0.4382 0.0453 0.6739
O6 0.5243 0.0404 0.3233
O7 0.5980 0.8070 0.0099
O8 0.6584 0.6886 0.5034
O9 0.7341 0.4546 0.1868
O10 0.8303 0.4520 0.8226
O11 0.8438 0.3083 0.5074
O12 0.8858 0.9609 0.6864
```

=====

# 6
BaBe2B2O6: simulated powder X-ray diffraction pattern (Cu Kα (λ = 1.5418 Å)), based on a GGA-PBE-relaxed structure.
Peak positions follow from Bragg's law for the DFT cell and can differ from measured ones.

Principal peaks in the range 2θ from 15° to 90°, in order of falling intensity:
2theta	I (rel.)
31.0	100
20.2	64
27.3	62
17.1	60
33.7	52
25.8	50

Atomic structure:
```
data_BaBe2B2O6
_chemical_formula_sum 'Ba2 Be4 B4 O12'
_symmetry_space_group_name_H-M 'P 1'
_symmetry_Int_Tables_number 1
_cell_length_a 8.8152
_cell_length_b 7.2729
_cell_length_c 6.7472
_cell_angle_alpha 77.82
_cell_angle_beta 53.75
_cell_angle_gamma 48.43
loop_
_symmetry_equiv_pos_as_xyz
'x,y,z'
loop_
_atom_site_label
_atom_site_fract_x
_atom_site_fract_y
_atom_site_fract_z
Ba1 0.1250 0.1250 0.1250
Ba2 0.8750 0.8750 0.8750
Be1 0.2825 0.2825 0.4675
Be2 0.4675 0.4675 0.2825
Be3 0.5325 0.5325 0.7175
Be4 0.7175 0.7175 0.5325
B1 0.1609 0.5891 0.1609
B2 0.4109 0.8391 0.4109
B3 0.5891 0.1609 0.5891
B4 0.8391 0.4109 0.8391
O1 0.0314 0.3962 0.7630
O2 0.2370 0.6906 0.9686
O3 0.2777 0.4723 0.2777
O4 0.3094 0.7630 0.3962
O5 0.3962 0.0314 0.3094
O6 0.4723 0.2777 0.4723
O7 0.5277 0.7223 0.5277
O8 0.6038 0.9686 0.6906
O9 0.6906 0.2370 0.6038
O10 0.7223 0.5277 0.7223
O11 0.7630 0.3094 0.0314
O12 0.9686 0.6038 0.2370
```

=====

Repeat the fourth record exactly.
BaBe2B2O4: simulated powder X-ray diffraction pattern (Cu Kα (λ = 1.5418 Å)), based on a GGA-PBE-relaxed structure.
Peak positions follow from Bragg's law for the DFT cell and can differ from measured ones.

Principal peaks in the range 2θ from 15° to 90°, in order of falling intensity:
2theta	I (rel.)
25.0	100
28.7	51
27.8	51
23.2	37
40.4	33
24.7	32

Atomic structure:
```
data_BaBe2B2O4
_chemical_formula_sum 'Ba4 Be8 B8 O16'
_symmetry_space_group_name_H-M 'P 1'
_symmetry_Int_Tables_number 1
_cell_length_a 8.9357
_cell_length_b 8.7203
_cell_length_c 8.5736
_cell_angle_alpha 62.22
_cell_angle_beta 59.70
_cell_angle_gamma 58.09
loop_
_symmetry_equiv_pos_as_xyz
'x,y,z'
loop_
_atom_site_label
_atom_site_fract_x
_atom_site_fract_y
_atom_site_fract_z
Ba1 0.0000 0.0000 0.0000
Ba2 0.0000 0.0000 0.5000
Ba3 0.0000 0.5000 0.0000
Ba4 0.5000 0.0000 0.0000
Be1 0.0140 0.3636 0.6283
Be2 0.3636 0.0140 0.4941
Be3 0.3717 0.5059 0.9860
Be4 0.4941 0.6283 0.3636
Be5 0.5059 0.3717 0.6364
Be6 0.6283 0.4941 0.0140
Be7 0.6364 0.9860 0.5059
Be8 0.9860 0.6364 0.3717
B1 0.2398 0.2642 0.3058
B2 0.2642 0.2398 0.6901
B3 0.3058 0.6901 0.2398
B4 0.3099 0.6942 0.7358
B5 0.6901 0.3058 0.2642
B6 0.6942 0.3099 0.7602
B7 0.7358 0.7602 0.3099
B8 0.7602 0.7358 0.6942
O1 0.1080 0.4034 0.3976
O2 0.1113 0.7616 0.2985
O3 0.2384 0.8887 0.6713
O4 0.2985 0.3287 0.1113
O5 0.3287 0.2985 0.7616
O6 0.3976 0.5910 0.1080
O7 0.4034 0.1080 0.5910
O8 0.4090 0.6024 0.5966
O9 0.5910 0.3976 0.4034
O10 0.5966 0.8920 0.4090
O11 0.6024 0.4090 0.8920
O12 0.6713 0.7015 0.2384
O13 0.7015 0.6713 0.8887
O14 0.7616 0.1113 0.3287
O15 0.8887 0.2384 0.7015
O16 0.8920 0.5966 0.6024
```